Entry 1:
Theoretical XRD peak list
Compound: KBa2V2ClO7
Radiation: λ = 1.5418 Å (Cu Kα)
Structure: a GGA+U-relaxed structure

Main lines, sorted by position (10° ≤ 2θ ≤ 90°):
Position (°2θ)	intensity
18.3	33
24.7	56
29.2	62
30.3	100
38.6	23
39.5	46
45.2	22
50.6	21
53.2	20
53.9	18
63.1	18
69.3	17

```
KBa2V2ClO7
1.0
5.894 0.000 0.000
-2.947 5.104 0.000
0.000 0.000 15.274
K Ba V Cl O
2 4 4 2 14
Direct
0.333 0.667 0.000
0.667 0.333 0.500
0.333 0.667 0.300
0.333 0.667 0.592
0.667 0.333 0.092
0.667 0.333 0.800
0.000 0.000 0.180
0.000 0.000 0.418
0.000 0.000 0.680
0.000 0.000 0.918
0.333 0.667 0.797
0.667 0.333 0.297
0.000 0.000 0.299
0.000 0.000 0.799
0.160 0.320 0.145
0.160 0.840 0.145
0.161 0.321 0.453
0.161 0.839 0.453
0.320 0.160 0.645
0.321 0.161 0.953
0.679 0.839 0.453
0.680 0.840 0.145
0.839 0.161 0.953
0.839 0.679 0.953
0.840 0.160 0.645
0.840 0.680 0.645
```



Entry 2:
Theoretical XRD peak list
Compound: Ba3Li2V2Cl4O7
Radiation: λ = 1.5418 Å (Cu Kα)
Structure: a GGA+U-relaxed structure

Main lines, sorted by position (10° ≤ 2θ ≤ 90°):
Position (°2θ)	intensity
12.1	49
20.1	100
22.2	56
24.4	27
25.1	34
30.4	84
31.3	63
32.9	29
33.1	84
33.3	89
39.8	27
43.4	26

```
Ba3Li2V2Cl4O7
1.0
8.171 -2.941 0.000
8.171 2.941 0.000
-0.133 0.000 14.608
Ba Li V Cl O
6 4 4 8 14
Direct
0.000 0.000 0.000
0.000 0.000 0.500
0.364 0.364 0.274
0.366 0.366 0.720
0.634 0.634 0.280
0.636 0.636 0.726
0.000 0.500 0.500
0.198 0.198 0.883
0.500 0.000 0.500
0.802 0.802 0.117
0.004 0.004 0.748
0.189 0.189 0.127
0.811 0.811 0.873
0.996 0.996 0.252
0.185 0.185 0.380
0.189 0.189 0.620
0.383 0.383 0.499
0.498 0.498 0.884
0.502 0.502 0.116
0.617 0.617 0.501
0.811 0.811 0.380
0.815 0.815 0.620
0.006 0.477 0.166
0.087 0.087 0.179
0.088 0.088 0.818
0.169 0.169 0.012
0.230 0.764 0.323
0.236 0.770 0.677
0.477 0.006 0.166
0.523 0.994 0.834
0.764 0.230 0.323
0.770 0.236 0.677
0.831 0.831 0.988
0.912 0.912 0.182
0.913 0.913 0.821
0.994 0.523 0.834
```



Entry 3:
Theoretical XRD peak list
Compound: Ba12MnRu5Cl4O24
Radiation: λ = 1.5418 Å (Cu Kα)
Structure: a GGA+U-relaxed structure

Main lines, sorted by position (10° ≤ 2θ ≤ 90°):
Position (°2θ)	intensity
18.3	19
24.8	53
29.4	48
30.2	100
39.5	34
42.7	25
42.9	13
50.5	15
53.2	17
53.7	19
62.8	17
87.2	13

```
Ba12MnRu5Cl4O24
1.0
5.917 0.000 0.000
-2.959 5.124 0.000
0.000 0.000 30.103
Ba Mn Ru Cl O
12 1 5 4 24
Direct
0.333 0.667 0.038
0.333 0.667 0.182
0.333 0.667 0.393
0.333 0.667 0.540
0.333 0.667 0.682
0.333 0.667 0.895
0.667 0.333 0.105
0.667 0.333 0.318
0.667 0.333 0.460
0.667 0.333 0.607
0.667 0.333 0.818
0.667 0.333 0.962
0.000 0.000 0.000
0.000 0.000 0.089
0.000 0.000 0.412
0.000 0.000 0.500
0.000 0.000 0.588
0.000 0.000 0.911
0.333 0.667 0.289
0.333 0.667 0.789
0.667 0.333 0.211
0.667 0.333 0.711
0.149 0.297 0.960
0.149 0.851 0.960
0.155 0.309 0.459
0.155 0.845 0.459
0.159 0.318 0.620
0.159 0.841 0.620
0.161 0.321 0.120
0.161 0.839 0.120
0.297 0.149 0.040
0.309 0.155 0.541
0.318 0.159 0.380
0.321 0.161 0.880
0.679 0.839 0.120
0.682 0.841 0.620
0.691 0.845 0.459
0.703 0.851 0.960
0.839 0.161 0.880
0.839 0.679 0.880
0.841 0.159 0.380
0.841 0.682 0.380
0.845 0.155 0.541
0.845 0.691 0.541
0.851 0.149 0.040
0.851 0.703 0.040
```



What is the formula in the second record? Ba3Li2V2Cl4O7